Computed powder X-ray diffraction pattern of Ho4SiSe2 for λ = 1.5418 Å (Cu Kα), from a cell relaxed with GGA-PBE.
Kinematic intensities with the Lorentz-polarization factor, no thermal factor.

Main lines, in order of rising 2θ (10 to 80 degrees two-theta):
2θ (°)  Rel. int.
26.78  37
28.28  27
29.82  100
30.41  39
31.14  72
33.24  54
40.89  44
45.30  31
46.29  28
55.18  36

Crystal structure
```
Ho4SiSe2
1.0
2.002 -6.492 0.000
2.002 6.492 0.000
0.000 0.000 13.511
Ho Si Se
8 2 4
Direct
0.000 0.000 0.000 Ho
0.000 0.000 0.500 Ho
0.282 0.718 0.629 Ho
0.282 0.718 0.871 Ho
0.450 0.550 0.250 Ho
0.550 0.450 0.750 Ho
0.718 0.282 0.129 Ho
0.718 0.282 0.371 Ho
0.105 0.895 0.250 Si
0.895 0.105 0.750 Si
0.360 0.640 0.063 Se
0.360 0.640 0.437 Se
0.640 0.360 0.563 Se
0.640 0.360 0.937 Se
```